[1]
Structure and theoretical X-ray powder pattern of PrErBe2Si2 (a structure optimized by DFT (GGA-PBE); Cu Kα).

Largest 6 diffraction maxima, sorted by position, 10° ≤ 2θ ≤ 90°:
- 2θ = 21.51°, I 25
- 2θ = 26.32°, I 62
- 2θ = 34.25°, I 100
- 2θ = 46.46°, I 26
- 2θ = 51.86°, I 20
- 2θ = 58.97°, I 21

Cell and atoms:
abc: 3.909 3.909 8.261
angles: 90.00 90.00 120.00
Fractional coordinates of all 6 atoms:
Pr (0.000, 0.000, 0.000)
Er (0.000, 0.000, 0.500)
Be (0.333, 0.667, 0.737)
Be (0.667, 0.333, 0.263)
Si (0.333, 0.667, 0.263)
Si (0.667, 0.333, 0.737)

=====

[2]
Structure and theoretical X-ray powder pattern of SmSi2NiAu (a structure optimized by DFT (GGA-PBE); Cu Kα).

Largest 6 diffraction maxima, sorted by position, 10° ≤ 2θ ≤ 90°:
- 2θ = 23.30°, I 47
- 2θ = 34.48°, I 32
- 2θ = 35.57°, I 100
- 2θ = 43.87°, I 35
- 2θ = 57.81°, I 18
- 2θ = 75.23°, I 31

Cell and atoms:
abc: 5.812 5.812 5.812
angles: 138.40 138.40 60.29
Fractional coordinates of all 5 atoms:
Sm (0.000, 0.000, 0.000)
Si (0.383, 0.383, 0.000)
Si (0.617, 0.617, 0.000)
Ni (0.250, 0.750, 0.500)
Au (0.750, 0.250, 0.500)

=====

[3]
Structure and theoretical X-ray powder pattern of Fe6Ge2B (a structure optimized by DFT (GGA-PBE); Cu Kα).

Largest 6 diffraction maxima, sorted by position, 10° ≤ 2θ ≤ 90°:
- 2θ = 41.62°, I 100
- 2θ = 43.86°, I 48
- 2θ = 44.95°, I 34
- 2θ = 50.11°, I 32
- 2θ = 53.97°, I 26
- 2θ = 83.69°, I 26

Cell and atoms:
abc: 6.306 6.306 2.991
angles: 90.00 90.00 120.00
Fractional coordinates of all 9 atoms:
Fe (0.000, 0.236, 0.000)
Fe (0.000, 0.624, 0.500)
Fe (0.236, 0.000, 0.000)
Fe (0.376, 0.376, 0.500)
Fe (0.624, 0.000, 0.500)
Fe (0.764, 0.764, 0.000)
Ge (0.333, 0.667, 0.000)
Ge (0.667, 0.333, 0.000)
B (0.000, 0.000, 0.500)

=====

[4]
Structure and theoretical X-ray powder pattern of Co9As2 (a structure optimized by DFT (GGA-PBE); Cu Kα).

Largest 6 diffraction maxima, sorted by position, 10° ≤ 2θ ≤ 90°:
- 2θ = 43.31°, I 100
- 2θ = 44.52°, I 14
- 2θ = 45.48°, I 26
- 2θ = 51.09°, I 58
- 2θ = 73.60°, I 22
- 2θ = 76.73°, I 14

Cell and atoms:
abc: 2.574 2.574 29.914
angles: 90.00 90.00 120.00
Fractional coordinates of all 11 atoms:
Co (0.000, 0.000, 0.000)
Co (0.000, 0.000, 0.197)
Co (0.000, 0.000, 0.803)
Co (0.333, 0.667, 0.131)
Co (0.333, 0.667, 0.737)
Co (0.333, 0.667, 0.934)
Co (0.667, 0.333, 0.066)
Co (0.667, 0.333, 0.263)
Co (0.667, 0.333, 0.869)
As (0.333, 0.667, 0.328)
As (0.667, 0.333, 0.672)

=====

Q: Which formula does entry 1 have?
A: PrErBe2Si2